(1)
Structure and theoretical PXRD pattern of NdScPd4 (a cell relaxed with PBE; Cu Kα (λ = 1.5418 Å)).

Crystal structure
Unit cell a=10.0380 b=10.0380 c=5.6608 alpha=90.00 beta=90.00 gamma=156.22
Fractional positions:
Nd (0.2215, 0.7785, 0.7500)
Nd (0.7785, 0.2215, 0.2500)
Sc (0.0727, 0.9273, 0.2500)
Sc (0.9273, 0.0727, 0.7500)
Pd (0.0696, 0.9304, 0.7500)
Pd (0.3575, 0.6425, 0.0001)
Pd (0.3575, 0.6425, 0.4999)
Pd (0.5000, 0.5000, 0.0000)
Pd (0.5000, 0.5000, 0.5000)
Pd (0.6425, 0.3575, 0.9999)
Pd (0.6425, 0.3575, 0.5001)
Pd (0.9304, 0.0696, 0.2500)

Main lines, by angle (15° ≤ 2θ ≤ 90°):
- 18.09°, 4.905 Å, I 9.4
- 27.08°, 3.292 Å, I 20.7
- 38.80°, 2.321 Å, I 100.0
- 42.20°, 2.141 Å, I 21.9
- 43.77°, 2.068 Å, I 19.3
- 49.12°, 1.855 Å, I 10.6
- 62.43°, 1.488 Å, I 13.3
- 74.84°, 1.269 Å, I 9.7
- 77.08°, 1.237 Å, I 13.4
- 79.27°, 1.209 Å, I 12.7



(2)
Structure and theoretical PXRD pattern of NdScTe3Pd (a cell relaxed with PBE; Cu Kα (λ = 1.5418 Å)).

Crystal structure
Unit cell a=7.9091 b=4.1645 c=10.0710 alpha=90.00 beta=102.68 gamma=90.00
Fractional positions:
Nd (0.2067, 0.2500, 0.2933)
Nd (0.7933, 0.7500, 0.7067)
Sc (0.3153, 0.7500, 0.8188)
Sc (0.6847, 0.2500, 0.1812)
Te (0.0758, 0.2500, 0.8606)
Te (0.2913, 0.7500, 0.5342)
Te (0.4133, 0.7500, 0.1348)
Te (0.5867, 0.2500, 0.8652)
Te (0.7087, 0.2500, 0.4658)
Te (0.9242, 0.7500, 0.1394)
Pd (0.0878, 0.2500, 0.5938)
Pd (0.9122, 0.7500, 0.4062)

Main lines, by angle (15° ≤ 2θ ≤ 90°):
- 26.61°, 3.350 Å, I 24.5
- 27.21°, 3.277 Å, I 21.6
- 28.09°, 3.177 Å, I 33.3
- 28.83°, 3.096 Å, I 33.0
- 31.45°, 2.844 Å, I 36.3
- 31.61°, 2.830 Å, I 100.0
- 31.95°, 2.802 Å, I 23.4
- 34.36°, 2.610 Å, I 32.6
- 34.80°, 2.578 Å, I 73.7
- 43.46°, 2.082 Å, I 40.6



Q: Which formula does entry 2 have?
A: NdScTe3Pd